For LiAu4Se4Cl4O12, DFT lattice parameters and positions (PBE) gives the computed powder X-ray diffraction pattern in this record (Cu Ka).
Intensities are scaled so that the largest is 100.

Top 8 peaks for 2θ from 5° to 70°, low angle first:
two_theta	Rel. int.	h k l
8.19	50	0 0 1
12.88	42	0 1 -1
17.57	34	0 1 2
18.58	100	1 0 0
24.85	33	1 1 2
26.36	34	1 -2 0
26.94	40	0 3 1
27.48	36	0 1 -3

Structural model:
```
data_LiAu4Se4Cl4O12
_space_group_name_H-M_alt 'P 1'
_space_group_IT_number 1
_cell_length_a 4.7851
_cell_length_b 10.0958
_cell_length_c 10.9137
_cell_angle_alpha 81.97
_cell_angle_beta 87.10
_cell_angle_gamma 87.20
loop_
_space_group_symop_operation_xyz
'x,y,z'
loop_
_atom_site_label
_atom_site_fract_x
_atom_site_fract_y
_atom_site_fract_z
_atom_site_occupancy
Li1 0.0000 0.0000 0.0000 1
Au1 0.4095 0.6195 0.7763 1
Au2 0.4245 0.2081 0.9634 1
Au3 0.4626 0.7940 0.1332 1
Au4 0.4678 0.2074 0.4632 1
Se1 0.2091 0.0660 0.2459 1
Se2 0.2470 0.4992 0.0610 1
Se3 0.5663 0.9210 0.8366 1
Se4 0.7205 0.3408 0.6939 1
Cl1 0.1299 0.7210 0.2851 1
Cl2 0.2213 0.0154 0.5249 1
Cl3 0.7181 0.3972 0.4041 1
Cl4 0.7386 0.7026 0.6273 1
O1 0.1077 0.1392 0.0974 1
O2 0.1204 0.5489 0.9141 1
O3 0.3155 0.0380 0.8823 1
O4 0.3208 0.8011 0.8361 1
O5 0.3864 0.2020 0.2823 1
O6 0.4121 0.4377 0.7155 1
O7 0.5076 0.9721 0.2040 1
O8 0.5099 0.3782 0.0385 1
O9 0.5096 0.6122 0.0710 1
O10 0.5517 0.2082 0.6424 1
O11 0.7278 0.8721 0.9790 1
O12 0.7688 0.2553 0.8411 1
```

=====

For LiAu4Se4Cl4O12, DFT lattice parameters and positions (PBE) gives the computed powder X-ray diffraction pattern in this record (Cu Ka).
Intensities are scaled so that the largest is 100.

Top 8 peaks for 2θ from 5° to 70°, low angle first:
two_theta	Rel. int.	h k l
8.14	54	0 0 1
13.02	49	0 1 -1
17.29	39	0 1 2
18.75	100	1 0 0
19.87	34	0 1 -2
24.22	35	1 1 2
26.19	43	1 -2 0
29.20	34	0 3 2

Structural model:
```
data_LiAu4Se4Cl4O12
_space_group_name_H-M_alt 'P 1'
_space_group_IT_number 1
_cell_length_a 4.7608
_cell_length_b 10.0795
_cell_length_c 11.0692
_cell_angle_alpha 80.49
_cell_angle_beta 83.89
_cell_angle_gamma 88.20
loop_
_space_group_symop_operation_xyz
'x,y,z'
loop_
_atom_site_label
_atom_site_fract_x
_atom_site_fract_y
_atom_site_fract_z
_atom_site_occupancy
Li1 0.0000 0.0000 0.0000 1
Au1 0.4258 0.7560 0.6259 1
Au2 0.4785 0.1868 0.9483 1
Au3 0.4787 0.3482 0.3076 1
Au4 0.4804 0.7710 0.1250 1
Se1 0.1924 0.6236 0.4008 1
Se2 0.3003 0.0531 0.2371 1
Se3 0.6553 0.9045 0.8332 1
Se4 0.6894 0.4875 0.0283 1
Cl1 0.1219 0.2644 0.4540 1
Cl2 0.1700 0.5617 0.6875 1
Cl3 0.6767 0.9528 0.5592 1
Cl4 0.8852 0.2241 0.8094 1
O1 0.1478 0.7159 0.2565 1
O2 0.1605 0.1147 0.0990 1
O3 0.3707 0.9989 0.8849 1
O4 0.3790 0.7514 0.4476 1
O5 0.4086 0.5987 0.0621 1
O6 0.4398 0.3794 0.9994 1
O7 0.4714 0.7662 0.8060 1
O8 0.4935 0.5250 0.3723 1
O9 0.5538 0.1721 0.2433 1
O10 0.5704 0.9451 0.1877 1
O11 0.7798 0.8355 0.9775 1
O12 0.7927 0.4224 0.1729 1
```

=====

For LiAu4Se4Cl4O12, DFT lattice parameters and positions (PBE) gives the computed powder X-ray diffraction pattern in this record (Cu Ka).
Intensities are scaled so that the largest is 100.

Top 8 peaks for 2θ from 5° to 70°, low angle first:
two_theta	Rel. int.	h k l
8.05	49	0 0 1
12.62	46	0 1 -1
17.43	31	0 1 2
19.28	100	1 0 0
24.83	38	1 1 2
26.85	50	0 1 -3
27.25	48	1 -2 0
33.69	30	1 3 2

Structural model:
```
data_LiAu4Se4Cl4O12
_space_group_name_H-M_alt 'P 1'
_space_group_IT_number 1
_cell_length_a 4.6329
_cell_length_b 10.1842
_cell_length_c 11.0923
_cell_angle_alpha 82.79
_cell_angle_beta 86.06
_cell_angle_gamma 85.05
loop_
_space_group_symop_operation_xyz
'x,y,z'
loop_
_atom_site_label
_atom_site_fract_x
_atom_site_fract_y
_atom_site_fract_z
_atom_site_occupancy
Li1 0.0000 0.0000 0.0000 1
Au1 0.6993 0.9248 0.7848 1
Au2 0.7532 0.3448 0.5922 1
Au3 0.7596 0.5126 0.9528 1
Au4 0.7754 0.9175 0.2886 1
Se1 0.0364 0.0514 0.5158 1
Se2 0.4836 0.7845 0.0676 1
Se3 0.5368 0.2345 0.8754 1
Se4 0.9212 0.6378 0.6762 1
Cl1 0.0568 0.0901 0.2070 1
Cl2 0.0930 0.4140 0.4442 1
Cl3 0.4252 0.4500 0.1080 1
Cl4 0.4986 0.7428 0.3566 1
O1 0.0587 0.5691 0.8153 1
O2 0.0721 0.9712 0.6596 1
O3 0.3550 0.8850 0.9425 1
O4 0.4466 0.2821 0.7275 1
O5 0.6345 0.7480 0.7156 1
O6 0.6694 0.5259 0.6499 1
O7 0.7086 0.9023 0.1115 1
O8 0.7333 0.1654 0.5307 1
O9 0.7825 0.6959 0.0040 1
O10 0.7836 0.0952 0.8678 1
O11 0.8225 0.3284 0.9009 1
O12 0.8351 0.9305 0.4647 1
```

=====

For LiAu4Se4Cl4O12, DFT lattice parameters and positions (PBE) gives the computed powder X-ray diffraction pattern in this record (Cu Ka).
Intensities are scaled so that the largest is 100.

Top 8 peaks for 2θ from 5° to 70°, low angle first:
two_theta	Rel. int.	h k l
8.03	58	0 0 1
12.60	51	0 1 -1
17.38	48	0 1 2
19.91	100	1 0 0
26.53	71	1 1 2
26.71	49	1 -2 0
26.80	72	0 1 -3
27.85	43	1 1 -2

Structural model:
```
data_LiAu4Se4Cl4O12
_space_group_name_H-M_alt 'P 1'
_space_group_IT_number 1
_cell_length_a 4.4602
_cell_length_b 10.1650
_cell_length_c 11.0965
_cell_angle_alpha 83.00
_cell_angle_beta 89.99
_cell_angle_gamma 89.85
loop_
_space_group_symop_operation_xyz
'x,y,z'
loop_
_atom_site_label
_atom_site_fract_x
_atom_site_fract_y
_atom_site_fract_z
_atom_site_occupancy
Li1 0.0000 0.0000 0.0000 1
Au1 0.8554 0.1633 0.7164 1
Au2 0.8595 0.5807 0.5289 1
Au3 0.8601 0.0009 0.3402 1
Au4 0.8647 0.5866 0.0264 1
Se1 0.0590 0.2942 0.4366 1
Se2 0.1443 0.7116 0.2649 1
Se3 0.5829 0.4527 0.7943 1
Se4 0.6565 0.8681 0.6179 1
Cl1 0.1597 0.7770 0.9750 1
Cl2 0.1815 0.0796 0.1801 1
Cl3 0.5631 0.0804 0.8908 1
Cl4 0.5871 0.3964 0.0738 1
O1 0.1653 0.2269 0.5816 1
O2 0.2036 0.6286 0.4087 1
O3 0.5168 0.5332 0.6492 1
O4 0.5513 0.9360 0.4723 1
O5 0.7729 0.4053 0.4623 1
O6 0.7892 0.1851 0.3917 1
O7 0.7923 0.5827 0.8461 1
O8 0.8367 0.8161 0.2813 1
O9 0.8889 0.3505 0.7745 1
O10 0.9222 0.9765 0.6655 1
O11 0.9304 0.5875 0.2081 1
O12 0.9440 0.7572 0.5936 1
```